Structure and theoretical X-ray diffraction stick pattern of Dy3Ho4In (a DFT-relaxed cell (PBE, Alexandria); a wavelength of 1.5418 Å).

Crystal structure
```
Dy3Ho4In
1.0
8.2824 0.0000 0.0000
0.0000 7.0028 0.0000
-0.7591 0.0000 8.2499
Dy Ho In
6 8 2
Direct
0.0000 0.0000 0.0000
0.2454 0.2415 0.7314
0.2454 0.7585 0.7314
0.5796 0.5000 0.8895
0.8284 0.2484 0.6454
0.8284 0.7516 0.6454
0.0954 0.5000 0.3950
0.3345 0.2581 0.1575
0.3345 0.7419 0.1575
0.4842 0.0000 0.4930
0.5846 0.0000 0.9142
0.7509 0.2516 0.2431
0.7509 0.7484 0.2431
0.9946 0.5000 0.9755
0.0856 0.0000 0.4032
0.4945 0.5000 0.4840
```

Most intense lines, 2θ = 10–90°, low angle first:
| 2θ (°) | d (Å) | I/Imax |
| --- | --- | --- |
| 29.39 | 3.039 | 26.7 |
| 32.07 | 2.791 | 38.6 |
| 33.39 | 2.683 | 55.1 |
| 33.57 | 2.669 | 100.0 |
| 58.13 | 1.587 | 20.1 |
| 62.30 | 1.490 | 22.2 |


Structure and theoretical X-ray diffraction stick pattern of Dy8Ho3In (a DFT-relaxed cell (PBE, Alexandria); a wavelength of 1.5418 Å).

Crystal structure
```
Dy8Ho3In
1.0
3.5232 0.0000 0.0000
-0.0018 8.5410 0.0000
-1.7609 -2.9805 12.2364
Dy Ho In
8 3 1
Direct
0.0000 0.0000 0.0000
0.0358 0.6121 0.0717
0.1940 0.3058 0.3890
0.5744 0.3130 0.1498
0.6169 0.9640 0.2340
0.6735 0.6431 0.3447
0.8310 0.3302 0.6585
0.8674 0.9628 0.7319
0.2469 0.9800 0.4911
0.2918 0.6396 0.5797
0.4208 0.6637 0.8397
0.4471 0.2961 0.8909
```

Most intense lines, 2θ = 10–90°, low angle first:
| 2θ (°) | d (Å) | I/Imax |
| --- | --- | --- |
| 30.59 | 2.922 | 45.9 |
| 31.28 | 2.859 | 44.1 |
| 31.98 | 2.799 | 61.3 |
| 32.37 | 2.766 | 58.0 |
| 33.51 | 2.674 | 100.0 |
| 62.27 | 1.491 | 18.4 |


Structure and theoretical X-ray diffraction stick pattern of DyHo3In4 (a DFT-relaxed cell (PBE, Alexandria); a wavelength of 1.5418 Å).

Crystal structure
```
DyHo3In4
1.0
10.7335 0.0000 0.0000
0.0000 7.1919 0.0000
0.0000 0.0000 5.4547
Dy Ho In
2 6 8
Direct
0.0000 0.0000 0.0000
0.5000 0.0000 0.0000
0.0000 0.5000 0.0000
0.2500 0.0000 0.4306
0.2500 0.5000 0.4292
0.5000 0.5000 0.0000
0.7500 0.0000 0.5694
0.7500 0.5000 0.5708
0.0000 0.2509 0.5000
0.0000 0.7491 0.5000
0.2500 0.2508 0.9212
0.2500 0.7492 0.9212
0.5000 0.2509 0.5000
0.5000 0.7491 0.5000
0.7500 0.2508 0.0788
0.7500 0.7492 0.0788
```

Most intense lines, 2θ = 10–90°, low angle first:
| 2θ (°) | d (Å) | I/Imax |
| --- | --- | --- |
| 32.84 | 2.727 | 19.9 |
| 33.39 | 2.683 | 29.8 |
| 34.22 | 2.620 | 100.0 |
| 47.54 | 1.913 | 14.1 |
| 60.22 | 1.537 | 19.3 |
| 62.15 | 1.494 | 9.8 |


Structure and theoretical X-ray diffraction stick pattern of Dy3HoIn3 (a DFT-relaxed cell (PBE, Alexandria); a wavelength of 1.5418 Å).

Crystal structure
```
Dy3HoIn3
1.0
9.3024 0.0000 0.0000
0.0000 9.3024 0.0000
0.0000 0.0000 9.3024
Dy Ho In
12 4 12
Direct
0.0733 0.4267 0.5733
0.1751 0.1751 0.1751
0.1749 0.8251 0.3251
0.3251 0.1749 0.8251
0.3249 0.8249 0.6751
0.4267 0.5733 0.0733
0.5733 0.0733 0.4267
0.6751 0.3249 0.8249
0.6749 0.6749 0.6749
0.8251 0.3251 0.1749
0.8249 0.6751 0.3249
0.9267 0.9267 0.9267
0.0760 0.5760 0.9240
0.4240 0.4240 0.4240
0.5760 0.9240 0.0760
0.9240 0.0760 0.5760
0.0005 0.2518 0.8743
0.1257 0.5005 0.2482
0.2482 0.1257 0.5005
0.2518 0.8743 0.0005
0.3743 0.4995 0.7482
0.4995 0.7482 0.3743
0.5005 0.2482 0.1257
0.6257 0.9995 0.7518
0.7482 0.3743 0.4995
0.7518 0.6257 0.9995
0.8743 0.0005 0.2518
0.9995 0.7518 0.6257
```

Most intense lines, 2θ = 10–90°, low angle first:
| 2θ (°) | d (Å) | I/Imax |
| --- | --- | --- |
| 30.39 | 2.942 | 100.0 |
| 36.13 | 2.486 | 73.8 |
| 47.91 | 1.899 | 20.7 |
| 49.99 | 1.824 | 22.6 |
| 61.44 | 1.509 | 25.6 |
| 64.97 | 1.435 | 15.4 |


Structure and theoretical X-ray diffraction stick pattern of Dy2Ho2In5 (a DFT-relaxed cell (PBE, Alexandria); a wavelength of 1.5418 Å).

Crystal structure
```
Dy2Ho2In5
1.0
-7.1518 3.5210 5.0053
7.1518 -3.5210 5.0053
7.1518 3.5210 -5.0053
Dy Ho In
4 4 10
Direct
0.0296 0.1275 0.1570
0.0296 0.3725 0.4021
0.9704 0.6275 0.5979
0.9704 0.8725 0.8430
0.4303 0.6892 0.2410
0.4482 0.1892 0.7590
0.5636 0.0636 0.5000
0.5636 0.5636 0.0000
0.0990 0.2376 0.7626
0.0990 0.8363 0.3614
0.4749 0.3363 0.2374
0.4749 0.7376 0.6386
0.5114 0.0775 0.1344
0.5114 0.8770 0.9339
0.5244 0.4662 0.5582
0.9080 0.9662 0.4418
0.9431 0.3770 0.8656
0.9431 0.5775 0.0661
```

Most intense lines, 2θ = 10–90°, low angle first:
| 2θ (°) | d (Å) | I/Imax |
| --- | --- | --- |
| 29.40 | 3.038 | 97.1 |
| 31.05 | 2.880 | 100.0 |
| 32.22 | 2.779 | 31.8 |
| 38.10 | 2.362 | 22.9 |
| 38.43 | 2.342 | 38.7 |
| 47.20 | 1.926 | 23.8 |


Structure and theoretical X-ray diffraction stick pattern of Dy8HoIn6 (a DFT-relaxed cell (PBE, Alexandria); a wavelength of 1.5418 Å).

Crystal structure
```
Dy8HoIn6
1.0
4.5105 2.6041 6.4815
-4.5105 2.6041 6.4815
0.0000 -5.2083 6.4815
Dy Ho In
8 1 6
Direct
0.0535 0.7204 0.3871
0.1664 0.1664 0.1664
0.2796 0.6129 0.9465
0.3871 0.0535 0.7204
0.6129 0.9465 0.2796
0.7204 0.3871 0.0535
0.8336 0.8336 0.8336
0.9465 0.2796 0.6129
0.5000 0.5000 0.5000
0.1084 0.4412 0.7737
0.2263 0.8916 0.5588
0.4412 0.7737 0.1084
0.5588 0.2263 0.8916
0.7737 0.1084 0.4412
0.8916 0.5588 0.2263
```

Most intense lines, 2θ = 10–90°, low angle first:
| 2θ (°) | d (Å) | I/Imax |
| --- | --- | --- |
| 24.04 | 3.702 | 37.7 |
| 34.07 | 2.632 | 100.0 |
| 34.44 | 2.604 | 95.6 |
| 49.22 | 1.851 | 35.2 |
| 60.73 | 1.525 | 18.3 |
| 61.46 | 1.509 | 36.0 |


Structure and theoretical X-ray diffraction stick pattern of Dy3Ho3In (a DFT-relaxed cell (PBE, Alexandria); a wavelength of 1.5418 Å).

Crystal structure
```
Dy3Ho3In
1.0
13.1760 0.0000 0.0000
0.0000 5.1746 0.0000
0.0000 0.0000 12.7117
Dy Ho In
12 12 4
Direct
0.0151 0.2500 0.0657
0.0547 0.2500 0.5697
0.2250 0.7500 0.4447
0.2750 0.2500 0.9447
0.4453 0.7500 0.0697
0.4849 0.7500 0.5657
0.5151 0.2500 0.4343
0.5547 0.2500 0.9303
0.7250 0.7500 0.0553
0.7750 0.2500 0.5553
0.9453 0.7500 0.4303
0.9849 0.7500 0.9343
0.0851 0.2500 0.3077
0.1742 0.7500 0.7323
0.1856 0.7500 0.1322
0.3144 0.2500 0.6322
0.3258 0.2500 0.2323
0.4149 0.7500 0.8077
0.5851 0.2500 0.1923
0.6742 0.7500 0.7677
0.6856 0.7500 0.3678
0.8144 0.2500 0.8678
0.8258 0.2500 0.2677
0.9149 0.7500 0.6923
0.0543 0.2500 0.8144
0.4457 0.7500 0.3144
0.5543 0.2500 0.6856
0.9457 0.7500 0.1856
```

Most intense lines, 2θ = 10–90°, low angle first:
| 2θ (°) | d (Å) | I/Imax |
| --- | --- | --- |
| 27.20 | 3.278 | 36.7 |
| 30.46 | 2.935 | 29.4 |
| 32.21 | 2.779 | 100.0 |
| 33.79 | 2.653 | 89.1 |
| 34.68 | 2.587 | 66.1 |
| 34.85 | 2.575 | 38.1 |


Structure and theoretical X-ray diffraction stick pattern of DyHo3In2 (a DFT-relaxed cell (PBE, Alexandria); a wavelength of 1.5418 Å).

Crystal structure
```
DyHo3In2
1.0
5.1583 0.0000 0.0000
0.0000 9.7904 0.0000
0.0000 0.0000 6.7031
Dy Ho In
2 6 4
Direct
0.0000 0.0373 0.0000
0.0000 0.9627 0.5000
0.0000 0.3182 0.6459
0.0000 0.6818 0.1459
0.5000 0.1830 0.2792
0.5000 0.4623 0.9255
0.5000 0.5377 0.4255
0.5000 0.8170 0.7792
0.0000 0.3591 0.1720
0.0000 0.6409 0.6720
0.5000 0.1412 0.7529
0.5000 0.8588 0.2529
```

Most intense lines, 2θ = 10–90°, low angle first:
| 2θ (°) | d (Å) | I/Imax |
| --- | --- | --- |
| 31.84 | 2.810 | 33.9 |
| 32.44 | 2.760 | 100.0 |
| 33.16 | 2.701 | 60.4 |
| 34.78 | 2.579 | 41.5 |
| 48.25 | 1.886 | 16.6 |
| 61.15 | 1.515 | 17.7 |


Structure and theoretical X-ray diffraction stick pattern of Dy2Ho4In (a DFT-relaxed cell (PBE, Alexandria); a wavelength of 1.5418 Å).

Crystal structure
```
Dy2Ho4In
1.0
0.0000 10.8633 3.9176
5.0804 0.0000 3.9176
5.0804 10.8633 0.0000
Dy Ho In
4 8 2
Direct
0.2273 0.7727 0.2970
0.5470 0.9530 0.4773
0.7727 0.2273 0.7030
0.9530 0.5470 0.0227
0.0174 0.1727 0.2513
0.1727 0.0174 0.5587
0.3531 0.4947 0.4849
0.4947 0.3531 0.6673
0.5827 0.7651 0.7553
0.6913 0.9987 0.0773
0.7651 0.5827 0.8969
0.9987 0.6913 0.2326
0.0788 0.0788 0.9212
0.3288 0.3288 0.1712
```

Most intense lines, 2θ = 10–90°, low angle first:
| 2θ (°) | d (Å) | I/Imax |
| --- | --- | --- |
| 28.78 | 3.102 | 76.7 |
| 30.31 | 2.949 | 56.5 |
| 31.31 | 2.857 | 54.3 |
| 32.25 | 2.776 | 70.2 |
| 33.26 | 2.694 | 100.0 |
| 33.71 | 2.659 | 47.7 |


Structure and theoretical X-ray diffraction stick pattern of Dy2Ho3In6 (a DFT-relaxed cell (PBE, Alexandria); a wavelength of 1.5418 Å).

Crystal structure
```
Dy2Ho3In6
1.0
-2.8900 2.8900 11.1987
2.8900 -2.8900 11.1987
2.8900 2.8900 -11.1987
Dy Ho In
2 3 6
Direct
0.0786 0.0786 0.0000
0.9214 0.9214 0.0000
0.3558 0.3558 0.0000
0.5000 0.5000 0.0000
0.6442 0.6442 0.0000
0.0687 0.5687 0.5000
0.2176 0.2176 0.0000
0.4313 0.9313 0.5000
0.5687 0.0687 0.5000
0.7824 0.7824 0.0000
0.9313 0.4313 0.5000
```

Most intense lines, 2θ = 10–90°, low angle first:
| 2θ (°) | d (Å) | I/Imax |
| --- | --- | --- |
| 21.74 | 4.087 | 34.5 |
| 30.94 | 2.890 | 100.0 |
| 31.97 | 2.799 | 96.2 |
| 44.33 | 2.044 | 37.0 |
| 45.09 | 2.011 | 72.2 |
| 65.08 | 1.433 | 22.9 |


Structure and theoretical X-ray diffraction stick pattern of Dy8Ho6In (a DFT-relaxed cell (PBE, Alexandria); a wavelength of 1.5418 Å).

Crystal structure
```
Dy8Ho6In
1.0
4.4681 2.5797 6.7101
-4.4681 2.5797 6.7101
0.0000 -5.1594 6.7101
Dy Ho In
8 6 1
Direct
0.0760 0.0760 0.0760
0.2154 0.6083 0.2492
0.2492 0.2154 0.6083
0.3917 0.7508 0.7846
0.6083 0.2492 0.2154
0.7508 0.7846 0.3917
0.7846 0.3917 0.7508
0.9240 0.9240 0.9240
0.0494 0.6049 0.7327
0.2673 0.9506 0.3951
0.3951 0.2673 0.9506
0.6049 0.7327 0.0494
0.7327 0.0494 0.6049
0.9506 0.3951 0.2673
0.5000 0.5000 0.5000
```

Most intense lines, 2θ = 10–90°, low angle first:
| 2θ (°) | d (Å) | I/Imax |
| --- | --- | --- |
| 30.89 | 2.895 | 40.3 |
| 31.86 | 2.809 | 100.0 |
| 32.08 | 2.790 | 62.3 |
| 33.24 | 2.696 | 46.5 |
| 35.50 | 2.529 | 22.3 |
| 54.29 | 1.690 | 29.8 |


Structure and theoretical X-ray diffraction stick pattern of DyHoInPb (a DFT-relaxed cell (PBE, Alexandria); a wavelength of 1.5418 Å).

Crystal structure
```
DyHoInPb
1.0
-2.4851 2.4851 4.4129
2.4851 -2.4851 4.4129
2.4851 2.4851 -4.4129
Dy Ho In Pb
1 1 1 1
Direct
0.0000 0.0000 0.0000
0.5000 0.5000 0.0000
0.2500 0.7500 0.5000
0.7500 0.2500 0.5000
```

Most intense lines, 2θ = 10–90°, low angle first:
| 2θ (°) | d (Å) | I/Imax |
| --- | --- | --- |
| 32.57 | 2.749 | 100.0 |
| 36.15 | 2.485 | 37.9 |
| 40.90 | 2.206 | 13.5 |
| 52.04 | 1.757 | 13.4 |
| 55.71 | 1.650 | 21.9 |
| 62.76 | 1.481 | 30.6 |